(1)
Structure and calculated powder XRD pattern of PrNd2Cd2Pb2 (the GGA-PBE geometry in Alexandria; a wavelength of 1.5418 Å).

Main lines, in order of rising 2θ (2θ from 5° to 70°):
| hkl | 2θ/deg | Rel. int. |
| --- | --- | --- |
| 1 0 7 | 30.40 | 100 |
| 0 1 8 | 32.98 | 16 |
| 1 1 0 | 34.95 | 87 |
| 0 2 7 | 46.98 | 30 |
| 2 1 7 | 59.88 | 29 |
| 3 0 0 | 62.68 | 16 |

Crystal structure
```
data_PrNd2Cd2Pb2
_chemical_formula_sum 'Pr3 Nd6 Cd6 Pb6'
_symmetry_space_group_name_H-M 'R -3 m'
_symmetry_Int_Tables_number 166
_symmetry_space_group_name_Hall '-R 3 2"'
_cell_length_a 5.1348
_cell_length_b 5.1348
_cell_length_c 27.4380
_cell_angle_alpha 90.00
_cell_angle_beta 90.00
_cell_angle_gamma 120.00
loop_
_atom_site_label
_atom_site_fract_x
_atom_site_fract_y
_atom_site_fract_z
Pr1 0.0000 0.0000 0.0000
Nd1 0.0000 0.0000 0.1330
Cd1 0.0000 0.0000 0.4265
Pb1 0.0000 0.0000 0.2704
```

***

(2)
Structure and calculated powder XRD pattern of Cd14SnHg (the GGA-PBE geometry in Alexandria; a wavelength of 1.5418 Å).

Main lines, in order of rising 2θ (2θ from 5° to 70°):
| hkl | 2θ/deg | Rel. int. |
| --- | --- | --- |
| 1 2 2 | 32.09 | 70 |
| 4 0 0 | 34.56 | 61 |
| 2 2 2 | 35.50 | 100 |
| 2 0 4 | 38.91 | 64 |
| 3 2 2 | 40.63 | 39 |
| 2 4 4 | 67.13 | 23 |

Crystal structure
```
data_Cd14SnHg
_chemical_formula_sum 'Cd28 Sn2 Hg2'
_symmetry_space_group_name_H-M 'A m m 2'
_symmetry_Int_Tables_number 38
_symmetry_space_group_name_Hall 'A 2 -2'
_cell_length_a 10.3815
_cell_length_b 6.9881
_cell_length_c 10.3436
_cell_angle_alpha 90.00
_cell_angle_beta 90.00
_cell_angle_gamma 90.00
loop_
_atom_site_label
_atom_site_fract_x
_atom_site_fract_y
_atom_site_fract_z
Cd1 0.0000 0.0000 0.0000
Cd2 0.0000 0.0000 0.4850
Cd3 0.0000 0.2359 0.7432
Cd4 0.2398 0.0000 0.1617
Cd5 0.2443 0.2355 0.9046
Cd6 0.2486 0.0000 0.6451
Cd7 0.5000 0.2475 0.0536
Sn1 0.5000 0.0000 0.3039
Hg1 0.5000 0.0000 0.8025
```

***

(3)
Structure and calculated powder XRD pattern of Cu4H9Rh2 (the GGA-PBE geometry in Alexandria; a wavelength of 1.5418 Å).

Main lines, in order of rising 2θ (2θ from 5° to 70°):
| hkl | 2θ/deg | Rel. int. |
| --- | --- | --- |
| 1 0 2 | 24.99 | 100 |
| 1 2 0 | 40.02 | 57 |
| -1 1 3 | 40.78 | 91 |
| 1 -1 3 | 42.00 | 50 |
| 2 1 2 | 42.11 | 51 |
| 0 0 6 | 42.26 | 63 |

Crystal structure
```
data_Cu4H9Rh2
_chemical_formula_sum 'Cu8 H18 Rh4'
_symmetry_space_group_name_H-M 'P -1'
_symmetry_Int_Tables_number 2
_symmetry_space_group_name_Hall '-P 1'
_cell_length_a 4.3988
_cell_length_b 4.6453
_cell_length_c 13.0577
_cell_angle_alpha 80.21
_cell_angle_beta 82.48
_cell_angle_gamma 68.32
loop_
_atom_site_label
_atom_site_fract_x
_atom_site_fract_y
_atom_site_fract_z
Cu1 0.0100 0.2260 0.0523
Cu2 0.1463 0.1974 0.4895
Cu3 0.4080 0.3906 0.1494
Cu4 0.4848 0.9939 0.6629
H1 0.0514 0.4499 0.2372
H2 0.0637 0.8271 0.0761
H3 0.1289 0.0322 0.7515
H4 0.1605 0.4013 0.5954
H5 0.1894 0.8809 0.4180
H6 0.3227 0.4192 0.9323
H7 0.4297 0.3306 0.4028
H8 0.4327 0.0693 0.0994
H9 0.4800 0.4151 0.7551
Rh1 0.1559 0.6450 0.3285
Rh2 0.2445 0.2337 0.8413
```

***

(4)
Structure and calculated powder XRD pattern of Mg2Zn9Se (the GGA-PBE geometry in Alexandria; a wavelength of 1.5418 Å).

Main lines, in order of rising 2θ (2θ from 5° to 70°):
| hkl | 2θ/deg | Rel. int. |
| --- | --- | --- |
| 1 0 1 | 19.95 | 25 |
| 1 1 6 | 40.13 | 100 |
| 0 0 12 | 40.78 | 28 |
| 2 0 5 | 43.56 | 31 |
| 0 2 7 | 46.83 | 15 |
| 0 3 6 | 65.51 | 17 |

Crystal structure
```
data_Mg2Zn9Se
_chemical_formula_sum 'Mg6 Zn27 Se3'
_symmetry_space_group_name_H-M 'R -3 m'
_symmetry_Int_Tables_number 166
_symmetry_space_group_name_Hall '-R 3 2"'
_cell_length_a 5.2135
_cell_length_b 5.2135
_cell_length_c 26.5552
_cell_angle_alpha 90.00
_cell_angle_beta 90.00
_cell_angle_gamma 120.00
loop_
_atom_site_label
_atom_site_fract_x
_atom_site_fract_y
_atom_site_fract_z
Mg1 0.0000 0.0000 0.1411
Zn1 0.0000 0.0000 0.3340
Zn2 0.0000 0.0000 0.5000
Zn3 0.0042 0.5021 0.9140
Se1 0.0000 0.0000 0.0000
```

***

(5)
Structure and calculated powder XRD pattern of La2PrAl (the GGA-PBE geometry in Alexandria; a wavelength of 1.5418 Å).

Main lines, in order of rising 2θ (2θ from 5° to 70°):
| hkl | 2θ/deg | Rel. int. |
| --- | --- | --- |
| 2 2 0 | 31.20 | 100 |
| 2 0 2 | 36.05 | 34 |
| 0 4 0 | 36.45 | 16 |
| 2 4 2 | 52.20 | 23 |
| 4 2 2 | 61.82 | 28 |
| 2 6 0 | 62.34 | 14 |

Crystal structure
```
data_La2PrAl
_chemical_formula_sum 'La8 Pr4 Al4'
_symmetry_space_group_name_H-M 'I m m a'
_symmetry_Int_Tables_number 74
_symmetry_space_group_name_Hall '-I 2b 2'
_cell_length_a 7.0468
_cell_length_b 9.8608
_cell_length_c 7.0456
_cell_angle_alpha 90.00
_cell_angle_beta 90.00
_cell_angle_gamma 90.00
loop_
_atom_site_label
_atom_site_fract_x
_atom_site_fract_y
_atom_site_fract_z
La1 0.0000 0.0000 0.0000
La2 0.2500 0.2500 0.2500
Pr1 0.2500 0.2500 0.7500
Al1 0.0000 0.0000 0.5000
```

***

(6)
Structure and calculated powder XRD pattern of NbTeH2PdI (the GGA-PBE geometry in Alexandria; a wavelength of 1.5418 Å).

Main lines, in order of rising 2θ (2θ from 5° to 70°):
| hkl | 2θ/deg | Rel. int. |
| --- | --- | --- |
| 0 0 1 | 12.09 | 66 |
| 0 1 1 | 24.01 | 44 |
| 1 0 1 | 27.34 | 100 |
| 0 1 2 | 32.13 | 46 |
| 1 1 1 | 34.52 | 77 |
| 1 1 2 | 40.77 | 96 |

Crystal structure
```
data_NbTeH2PdI
_chemical_formula_sum 'Nb1 Te1 H2 Pd1 I1'
_symmetry_space_group_name_H-M 'P m m 2'
_symmetry_Int_Tables_number 25
_symmetry_space_group_name_Hall 'P 2 -2'
_cell_length_a 3.6438
_cell_length_b 4.2987
_cell_length_c 7.3179
_cell_angle_alpha 90.00
_cell_angle_beta 90.00
_cell_angle_gamma 90.00
loop_
_atom_site_label
_atom_site_fract_x
_atom_site_fract_y
_atom_site_fract_z
Nb1 0.0000 0.0000 0.0000
Te1 0.5000 0.0000 0.6933
H1 0.0000 0.5000 0.8971
H2 0.5000 0.0000 0.0975
Pd1 0.5000 0.5000 0.8963
I1 0.0000 0.5000 0.2797
```